No. 1
For BAuN, a structure optimized by DFT (PBE) gives the computed X-ray powder pattern in this record (Cu Kα X-rays).
Kinematic intensities with the Lorentz-polarization factor, no thermal factor.

Structure:
Cell: 2.6070 2.6070 8.3412 Å, 85.56 86.14 60.00°
Space group P1 (No. 1)
Inequivalent atoms, fractional coordinates:
B: 0.0000 0.0000 0.0000 (multiplicity 1)
Au: 0.5015 0.9589 0.5005 (multiplicity 1)
N: 0.3333 0.3334 0.0000 (multiplicity 1)

Principal peaks in the range 10° ≤ 2θ ≤ 80°, by intensity:
2θ 10.6, intensity 100, (0 0 1); 2θ 21.4, intensity 38, (0 0 2); 2θ 40.0, intensity 12, (1 0 0); 2θ 32.3, intensity 9, (0 0 3); 2θ 40.7, intensity 6, (1 1 1); 2θ 40.1, intensity 6, (1 1 0)

---

No. 2
For Nd2B3Pt12Au, a structure optimized by DFT (PBE) gives the computed X-ray powder pattern in this record (Cu Kα X-rays).
Kinematic intensities with the Lorentz-polarization factor, no thermal factor.

Structure:
Cell: 7.9727 7.9727 17.7448 Å, 90.00 90.00 120.00°
Space group R-3m (No. 166, hexagonal axes)
Inequivalent atoms, fractional coordinates:
Nd: 0.0000 0.0000 0.1027 (multiplicity 6)
B: 0.0000 0.5000 0.0000 (multiplicity 9)
Pt: 0.0175 0.5087 0.8799 (multiplicity 18)
Pt: 0.0583 0.5291 0.3535 (multiplicity 18)
Au: 0.0000 0.0000 0.5000 (multiplicity 3)

Principal peaks in the range 10° ≤ 2θ ≤ 80°, by intensity:
2θ 32.9, intensity 100, (0 2 4); 2θ 45.5, intensity 56, (2 2 0); 2θ 35.9, intensity 37, (1 2 2); 2θ 36.3, intensity 31, (2 0 5); 2θ 48.8, intensity 30, (2 0 8); 2θ 40.1, intensity 20, (2 1 4)

---

No. 3
For Ni12B5Au, a structure optimized by DFT (PBE) gives the computed X-ray powder pattern in this record (Cu Kα X-rays).
Kinematic intensities with the Lorentz-polarization factor, no thermal factor.

Structure:
Cell: 6.7801 6.8094 7.6589 Å, 90.00 90.00 90.00°
Space group Immm (No. 71)
Inequivalent atoms, fractional coordinates:
Ni: 0.0000 0.1865 0.2141 (multiplicity 8)
Ni: 0.1834 0.5000 0.1839 (multiplicity 8)
Ni: 0.2195 0.3215 0.5000 (multiplicity 8)
B: 0.0000 0.0000 0.0000 (multiplicity 2)
B: 0.0000 0.3576 0.0000 (multiplicity 4)
B: 0.0000 0.5000 0.3850 (multiplicity 4)
Au: 0.0000 0.0000 0.5000 (multiplicity 2)

Principal peaks in the range 10° ≤ 2θ ≤ 80°, by intensity:
2θ 44.5, intensity 100, (2 2 2); 2θ 46.5, intensity 68, (2 1 3); 2θ 48.5, intensity 59, (1 3 2); 2θ 17.4, intensity 52, (0 1 1); 2θ 41.5, intensity 51, (0 3 1); 2θ 42.1, intensity 51, (3 1 0)